Record 1
# Al3Si2H3O10
Simulated powder X-ray diffraction pattern, Cu Kα. Input: a crystal structure in Alexandria, relaxed with PBE.

Atomic structure:
```
data_Al3Si2H3O10
_chemical_formula_sum 'Al6 Si4 H6 O20'
_cell_length_a 6.184
_cell_length_b 7.337
_cell_length_c 7.811
_cell_angle_alpha 64.57
_cell_angle_beta 88.08
_cell_angle_gamma 86.66
_symmetry_space_group_name_H-M 'P -1'
_symmetry_Int_Tables_number 2
_symmetry_space_group_name_Hall '-P 1'
loop_
_atom_site_label
_atom_site_type_symbol
_atom_site_fract_x
_atom_site_fract_y
_atom_site_fract_z
Al1 Al 0.147 0.151 0.396
Al2 Al 0.290 0.253 0.011
Al3 Al 0.351 0.349 0.607
Si1 Si 0.143 0.777 0.296
Si2 Si 0.365 0.727 0.708
H1 H 0.112 0.502 0.132
H2 H 0.209 0.763 0.016
H3 H 0.378 0.998 0.868
O1 O 0.073 0.281 0.565
O2 O 0.079 0.749 0.102
O3 O 0.141 0.360 0.154
O4 O 0.158 0.887 0.601
O5 O 0.211 0.011 0.231
O6 O 0.300 0.490 0.775
O7 O 0.342 0.611 0.402
O8 O 0.360 0.141 0.848
O9 O 0.425 0.217 0.440
O10 O 0.431 0.759 0.896
```

Largest 6 diffraction maxima, low angle first, 2θ from 10° to 80°:
12.55 deg, I = 48.1, (0 0 1); 26.66 deg, I = 43.9, (1 -1 1); 26.94 deg, I = 100.0, (0 2 0); 31.53 deg, I = 65.0, (2 0 1); 31.75 deg, I = 46.2, (2 0 -1); 36.16 deg, I = 58.4, (0 2 3)

Record 2
# TmAlH2O4
Simulated powder X-ray diffraction pattern, Cu Kα. Input: a crystal structure in Alexandria, relaxed with PBE.

Atomic structure:
```
data_TmAlH2O4
_chemical_formula_sum 'Tm2 Al2 H4 O8'
_cell_length_a 4.464
_cell_length_b 5.407
_cell_length_c 5.867
_cell_angle_alpha 90.00
_cell_angle_beta 90.00
_cell_angle_gamma 90.00
_symmetry_space_group_name_H-M 'I 2 2 2'
_symmetry_Int_Tables_number 23
_symmetry_space_group_name_Hall 'I 2 2'
loop_
_atom_site_label
_atom_site_type_symbol
_atom_site_fract_x
_atom_site_fract_y
_atom_site_fract_z
Tm1 Tm 0.000 0.000 0.000
Al1 Al 0.000 0.000 0.500
H1 H 0.000 0.500 0.184
O1 O 0.225 0.365 0.812
```

Largest 6 diffraction maxima, low angle first, 2θ from 10° to 80°:
22.36 deg, I = 59.8, (0 1 1); 25.07 deg, I = 67.2, (1 0 1); 25.88 deg, I = 100.0, (1 1 0); 40.40 deg, I = 83.8, (1 1 2); 42.00 deg, I = 38.0, (1 2 1); 46.67 deg, I = 29.1, (2 1 1)

Record 3
# Al5H2Pd12
Simulated powder X-ray diffraction pattern, Cu Kα. Input: a crystal structure in Alexandria, relaxed with PBE.

Atomic structure:
```
data_Al5H2Pd12
_chemical_formula_sum 'Al10 H4 Pd24'
_cell_length_a 14.407
_cell_length_b 5.581
_cell_length_c 7.508
_cell_angle_alpha 90.00
_cell_angle_beta 116.13
_cell_angle_gamma 90.00
_symmetry_space_group_name_H-M 'C 1 2/m 1'
_symmetry_Int_Tables_number 12
_symmetry_space_group_name_Hall '-C 2y'
loop_
_atom_site_label
_atom_site_type_symbol
_atom_site_fract_x
_atom_site_fract_y
_atom_site_fract_z
Al1 Al 0.000 0.000 0.000
Al2 Al 0.193 0.500 0.870
Al3 Al 0.243 0.000 0.497
H1 H 0.000 0.116 0.500
Pd1 Pd 0.017 0.500 0.833
Pd2 Pd 0.108 0.260 0.518
Pd3 Pd 0.128 0.000 0.840
Pd4 Pd 0.169 0.256 0.181
```

Largest 6 diffraction maxima, low angle first, 2θ from 10° to 80°:
27.59 deg, I = 37.3, (4 0 0); 38.38 deg, I = 37.0, (6 0 -2); 39.76 deg, I = 79.1, (2 2 1); 40.13 deg, I = 89.0, (0 0 3); 40.33 deg, I = 100.0, (2 2 -2); 42.80 deg, I = 36.0, (4 2 0)

Record 4
# AlH3Pd6
Simulated powder X-ray diffraction pattern, Cu Kα. Input: a crystal structure in Alexandria, relaxed with PBE.

Atomic structure:
```
data_AlH3Pd6
_chemical_formula_sum 'Al2 H6 Pd12'
_cell_length_a 9.106
_cell_length_b 2.897
_cell_length_c 9.352
_cell_angle_alpha 90.00
_cell_angle_beta 111.44
_cell_angle_gamma 90.00
_symmetry_space_group_name_H-M 'P 1 21/m 1'
_symmetry_Int_Tables_number 11
_symmetry_space_group_name_Hall '-P 2yb'
loop_
_atom_site_label
_atom_site_type_symbol
_atom_site_fract_x
_atom_site_fract_y
_atom_site_fract_z
Al1 Al 0.118 0.250 0.377
H1 H 0.186 0.750 0.032
H2 H 0.255 0.250 0.822
H3 H 0.461 0.250 0.318
Pd1 Pd 0.047 0.250 0.850
Pd2 Pd 0.150 0.750 0.616
Pd3 Pd 0.243 0.250 0.167
Pd4 Pd 0.349 0.750 0.948
Pd5 Pd 0.357 0.750 0.449
Pd6 Pd 0.448 0.250 0.736
```

Largest 6 diffraction maxima, low angle first, 2θ from 10° to 80°:
36.86 deg, I = 100.0, (3 0 1); 38.78 deg, I = 58.0, (1 0 -4); 39.04 deg, I = 76.6, (2 1 -2); 39.94 deg, I = 59.1, (4 0 -2); 40.93 deg, I = 94.8, (1 1 2); 44.15 deg, I = 51.0, (3 0 2)

Record 5
# AlHPd4
Simulated powder X-ray diffraction pattern, Cu Kα. Input: a crystal structure in Alexandria, relaxed with PBE.

Atomic structure:
```
data_AlHPd4
_chemical_formula_sum 'Al1 H1 Pd4'
_cell_length_a 4.021
_cell_length_b 4.020
_cell_length_c 5.487
_cell_angle_alpha 90.00
_cell_angle_beta 111.33
_cell_angle_gamma 90.00
_symmetry_space_group_name_H-M 'P 1 m 1'
_symmetry_Int_Tables_number 6
_symmetry_space_group_name_Hall 'P -2y'
loop_
_atom_site_label
_atom_site_type_symbol
_atom_site_fract_x
_atom_site_fract_y
_atom_site_fract_z
Al1 Al 0.000 0.000 0.000
H1 H 0.343 0.500 0.669
Pd1 Pd 0.146 0.500 0.292
Pd2 Pd 0.351 0.000 0.701
Pd3 Pd 0.645 0.000 0.290
Pd4 Pd 0.851 0.500 0.701
```

Largest 6 diffraction maxima, low angle first, 2θ from 10° to 80°:
32.70 deg, I = 55.8, (1 1 0); 35.12 deg, I = 24.5, (0 0 2); 41.36 deg, I = 100.0, (1 1 -2); 45.10 deg, I = 44.4, (0 2 0); 58.44 deg, I = 16.4, (0 2 2); 65.69 deg, I = 14.1, (2 2 -1)

Record 6
# Al2HPd8
Simulated powder X-ray diffraction pattern, Cu Kα. Input: a crystal structure in Alexandria, relaxed with PBE.

Atomic structure:
```
data_Al2HPd8
_chemical_formula_sum 'Al4 H2 Pd16'
_cell_length_a 5.543
_cell_length_b 13.507
_cell_length_c 4.095
_cell_angle_alpha 90.00
_cell_angle_beta 90.00
_cell_angle_gamma 90.00
_symmetry_space_group_name_H-M 'I m m 2'
_symmetry_Int_Tables_number 44
_symmetry_space_group_name_Hall 'I 2 -2'
loop_
_atom_site_label
_atom_site_type_symbol
_atom_site_fract_x
_atom_site_fract_y
_atom_site_fract_z
Al1 Al 0.000 0.187 0.000
H1 H 0.000 0.500 0.042
Pd1 Pd 0.000 0.000 0.000
Pd2 Pd 0.000 0.292 0.500
Pd3 Pd 0.000 0.500 0.501
Pd4 Pd 0.246 0.109 0.500
```

Largest 6 diffraction maxima, low angle first, 2θ from 10° to 80°:
39.84 deg, I = 100.0, (2 1 1); 39.98 deg, I = 99.8, (0 5 1); 42.18 deg, I = 55.5, (2 4 0); 44.24 deg, I = 46.2, (0 0 2); 62.77 deg, I = 33.3, (2 4 2); 78.46 deg, I = 26.6, (0 5 3)

Record 7
# AlH3Pd5
Simulated powder X-ray diffraction pattern, Cu Kα. Input: a crystal structure in Alexandria, relaxed with PBE.

Atomic structure:
```
data_AlH3Pd5
_chemical_formula_sum 'Al4 H12 Pd20'
_cell_length_a 9.894
_cell_length_b 5.873
_cell_length_c 8.356
_cell_angle_alpha 90.00
_cell_angle_beta 123.74
_cell_angle_gamma 90.00
_symmetry_space_group_name_H-M 'C 1 2/m 1'
_symmetry_Int_Tables_number 12
_symmetry_space_group_name_Hall '-C 2y'
loop_
_atom_site_label
_atom_site_type_symbol
_atom_site_fract_x
_atom_site_fract_y
_atom_site_fract_z
Al1 Al 0.229 0.000 0.328
H1 H 0.000 0.000 0.000
H2 H 0.000 0.500 0.500
H3 H 0.031 0.500 0.843
H4 H 0.118 0.000 0.745
Pd1 Pd 0.000 0.275 0.000
Pd2 Pd 0.009 0.257 0.341
Pd3 Pd 0.244 0.000 0.026
Pd4 Pd 0.248 0.000 0.657
```

Largest 6 diffraction maxima, low angle first, 2θ from 10° to 80°:
37.63 deg, I = 100.0, (2 2 0); 38.88 deg, I = 44.6, (0 0 3); 39.23 deg, I = 42.2, (4 0 -3); 44.02 deg, I = 32.1, (4 0 0); 44.85 deg, I = 57.6, (2 2 -3); 64.41 deg, I = 19.1, (2 2 3)

Record 8
# Al2H3Pd8
Simulated powder X-ray diffraction pattern, Cu Kα. Input: a crystal structure in Alexandria, relaxed with PBE.

Atomic structure:
```
data_Al2H3Pd8
_chemical_formula_sum 'Al4 H6 Pd16'
_cell_length_a 12.727
_cell_length_b 5.820
_cell_length_c 4.695
_cell_angle_alpha 90.00
_cell_angle_beta 108.34
_cell_angle_gamma 90.00
_symmetry_space_group_name_H-M 'C 1 2/m 1'
_symmetry_Int_Tables_number 12
_symmetry_space_group_name_Hall '-C 2y'
loop_
_atom_site_label
_atom_site_type_symbol
_atom_site_fract_x
_atom_site_fract_y
_atom_site_fract_z
Al1 Al 0.248 0.000 0.019
H1 H 0.000 0.175 0.500
H2 H 0.000 0.500 0.000
Pd1 Pd 0.081 0.253 0.859
Pd2 Pd 0.132 0.000 0.410
Pd3 Pd 0.141 0.500 0.400
```

Largest 6 diffraction maxima, low angle first, 2θ from 10° to 80°:
29.58 deg, I = 76.8, (4 0 0); 36.89 deg, I = 94.0, (0 2 1); 38.41 deg, I = 96.3, (2 0 -2); 42.32 deg, I = 86.6, (2 2 1); 43.10 deg, I = 52.6, (6 0 -1); 43.53 deg, I = 100.0, (4 2 -1)

Record 9
# AlH7Pd12
Simulated powder X-ray diffraction pattern, Cu Kα. Input: a crystal structure in Alexandria, relaxed with PBE.

Atomic structure:
```
data_AlH7Pd12
_chemical_formula_sum 'Al3 H21 Pd36'
_cell_length_a 10.3645
_cell_length_b 10.3645
_cell_length_c 7.0466
_cell_angle_alpha 90.00
_cell_angle_beta 90.00
_cell_angle_gamma 120.00
_symmetry_space_group_name_H-M 'R -3'
_symmetry_Int_Tables_number 148
_symmetry_space_group_name_Hall '-R 3'
loop_
_atom_site_label
_atom_site_type_symbol
_atom_site_fract_x
_atom_site_fract_y
_atom_site_fract_z
Al1 Al 0.0000 0.0000 0.0000
H1 H 0.0000 0.0000 0.5000
H2 H 0.0317 0.1960 0.7893
Pd1 Pd 0.0346 0.5952 0.6740
Pd2 Pd 0.0476 0.1773 0.3309
```

Largest 6 diffraction maxima, low angle first, 2θ from 10° to 80°:
17.11 deg, I = 1.4, (1 1 0); 29.22 deg, I = 2.7, (2 1 1); 38.34 deg, I = 100.0, (0 0 3); 44.56 deg, I = 49.3, (3 1 2); 64.86 deg, I = 31.3, (4 -3 4); 77.92 deg, I = 35.7, (3 1 5)